Starting from a structure optimized by DFT (PBE+U), the PXRD pattern of K2MgFe4P6O16F12 was computed for Cu Kα X-rays.

Peak list (10 most intense, 2θ = 15–90°, by intensity)
26.8 deg, I 100, (0 2 -1)
25.7 deg, I 45, (1 1 3)
25.5 deg, I 44, (-1 1 2)
16.1 deg, I 36, (0 1 -1)
17.5 deg, I 23, (1 0 -1)
26.7 deg, I 22, (2 -1 0)
23.2 deg, I 20, (2 0 1)
46.5 deg, I 19, (0 2 5)
26.1 deg, I 17, (2 -1 1)
33.3 deg, I 17, (2 -1 3)

Structural model:
```
data_K2MgFe4P6O16F12
_chemical_formula_sum 'K2 Mg1 Fe4 P6 O16 F12'
_cell_length_a 7.667
_cell_length_b 7.760
_cell_length_c 10.904
_cell_angle_alpha 78.43
_cell_angle_beta 70.13
_cell_angle_gamma 89.94
_space_group_name_H-M_alt 'P 1'
_space_group_IT_number 1
_space_group_name_Hall 'P 1'
loop_
_atom_site_label
_atom_site_fract_x
_atom_site_fract_y
_atom_site_fract_z
K1 0.000 0.000 0.000
K2 0.406 0.851 0.634
Mg1 0.850 0.007 0.380
Fe1 0.251 0.923 0.315
Fe2 0.579 0.615 0.145
Fe3 0.734 0.420 0.829
Fe4 0.904 0.277 0.500
P1 0.167 0.339 0.675
P2 0.308 0.517 0.983
P3 0.540 0.016 0.999
P4 0.569 0.200 0.330
P5 0.877 0.674 0.305
P6 0.928 0.821 0.632
O1 0.005 0.844 0.269
O2 0.014 0.384 0.791
O3 0.110 0.789 0.530
O4 0.135 0.291 0.560
O5 0.349 0.579 0.092
O6 0.361 0.036 0.108
O7 0.418 0.052 0.384
O8 0.455 0.458 0.873
O9 0.532 0.372 0.257
O10 0.646 0.854 0.029
O11 0.671 0.200 0.429
O12 0.679 0.177 0.941
O13 0.796 0.660 0.714
O14 0.810 0.657 0.192
O15 0.820 0.965 0.576
O16 0.936 0.516 0.378
F1 0.069 0.153 0.341
F2 0.140 0.375 0.045
F3 0.210 0.669 0.915
F4 0.265 0.182 0.739
F5 0.332 0.484 0.627
F6 0.411 0.706 0.289
F7 0.476 0.984 0.878
F8 0.695 0.742 0.417
F9 0.728 0.515 0.988
F10 0.732 0.324 0.677
F11 0.740 0.116 0.218
F12 0.987 0.900 0.740
```


Starting from a structure optimized by DFT (PBE+U), the PXRD pattern of NaAl6Fe3Si6B3O30F was computed for Cu Kα X-rays.

Peak list (10 most intense, 2θ = 15–90°, by intensity)
34.6 deg, I 100, (0 5 1)
29.8 deg, I 63, (1 2 2)
25.2 deg, I 63, (0 1 2)
22.2 deg, I 60, (2 2 0)
20.8 deg, I 50, (2 1 1)
44.0 deg, I 42, (1 5 2)
46.9 deg, I 27, (3 4 2)
57.5 deg, I 22, (5 5 0)
60.6 deg, I 19, (0 5 4)
54.7 deg, I 19, (0 6 3)

Structural model:
```
data_NaAl6Fe3Si6B3O30F
_chemical_formula_sum 'Na3 Al18 Fe9 Si18 B9 O90 F3'
_cell_length_a 16.0229
_cell_length_b 16.0229
_cell_length_c 7.3185
_cell_angle_alpha 90.00
_cell_angle_beta 90.00
_cell_angle_gamma 120.00
_space_group_name_H-M_alt 'R 3 m'
_space_group_IT_number 160
_space_group_name_Hall 'R 3 -2"'
loop_
_atom_site_label
_atom_site_fract_x
_atom_site_fract_y
_atom_site_fract_z
Na1 0.0000 0.0000 0.0000
Al1 0.0335 0.4077 0.2804
Fe1 0.0686 0.1371 0.6007
Si1 0.0007 0.1920 0.2211
B1 0.2217 0.1109 0.7643
O1 0.9997 0.2862 0.1434
O2 0.0047 0.1943 0.4436
O3 0.0667 0.5334 0.3598
O4 0.0913 0.1826 0.1394
O5 0.1222 0.0611 0.7338
O6 0.1235 0.3966 0.4441
O7 0.1865 0.0932 0.1452
F1 0.0000 0.0000 0.4486
```


Starting from a structure optimized by DFT (PBE+U), the PXRD pattern of Li2VCrP2H2O10 was computed for Cu Kα X-rays.

Peak list (10 most intense, 2θ = 15–90°, by intensity)
26.8 deg, I 100, (0 2 0)
29.0 deg, I 68, (1 0 -3)
26.5 deg, I 58, (1 -2 1)
18.7 deg, I 36, (1 0 -1)
18.5 deg, I 30, (1 -1 0)
36.0 deg, I 28, (1 0 3)
17.6 deg, I 27, (0 0 2)
25.7 deg, I 27, (1 -1 2)
25.8 deg, I 23, (0 1 -3)
22.4 deg, I 20, (1 0 1)

Structural model:
```
data_Li2VCrP2H2O10
_chemical_formula_sum 'Li4 V2 Cr2 P4 H4 O20'
_cell_length_a 5.168
_cell_length_b 7.382
_cell_length_c 10.654
_cell_angle_alpha 104.49
_cell_angle_beta 97.04
_cell_angle_gamma 108.95
_space_group_name_H-M_alt 'P -1'
_space_group_IT_number 2
_space_group_name_Hall '-P 1'
loop_
_atom_site_label
_atom_site_fract_x
_atom_site_fract_y
_atom_site_fract_z
Li1 0.048 0.123 0.301
Li2 0.451 0.375 0.198
V1 0.000 0.500 0.000
V2 0.500 0.500 0.500
Cr1 0.000 0.000 0.000
Cr2 0.500 0.000 0.500
P1 0.002 0.447 0.680
P2 0.496 0.051 0.820
H1 0.169 0.188 0.529
H2 0.330 0.307 0.970
O1 0.126 0.780 0.398
O2 0.131 0.484 0.828
O3 0.188 0.298 0.026
O4 0.217 0.450 0.330
O5 0.243 0.945 0.874
O6 0.255 0.554 0.627
O7 0.283 0.050 0.170
O8 0.315 0.199 0.477
O9 0.366 0.011 0.672
O10 0.376 0.722 0.102
```


Starting from a structure optimized by DFT (PBE+U), the PXRD pattern of Ba2Zn2Cr7Ga2Sn2O22 was computed for Cu Kα X-rays.

Peak list (10 most intense, 2θ = 15–90°, by intensity)
30.1 deg, I 100, (1 0 4)
29.9 deg, I 69, (1 1 0)
35.3 deg, I 65, (1 1 3)
53.3 deg, I 41, (2 1 4)
62.2 deg, I 34, (2 2 0)
57.0 deg, I 26, (0 2 7)
39.5 deg, I 24, (0 2 3)
30.6 deg, I 19, (1 1 1)
86.3 deg, I 18, (4 1 0)
70.7 deg, I 17, (1 3 4)

Structural model:
```
data_Ba2Zn2Cr7Ga2Sn2O22
_chemical_formula_sum 'Ba2 Zn2 Cr7 Ga2 Sn2 O22'
_cell_length_a 5.9693
_cell_length_b 5.9693
_cell_length_c 14.4899
_cell_angle_alpha 90.00
_cell_angle_beta 90.00
_cell_angle_gamma 120.00
_space_group_name_H-M_alt 'P -3 m 1'
_space_group_IT_number 164
_space_group_name_Hall '-P 3 2"'
loop_
_atom_site_label
_atom_site_fract_x
_atom_site_fract_y
_atom_site_fract_z
Ba1 0.3333 0.6667 0.0750
Zn1 0.3333 0.6667 0.5445
Cr1 0.0000 0.0000 0.5000
Cr2 0.1685 0.3370 0.3299
Ga1 0.0000 0.0000 0.1270
Sn1 0.3333 0.6667 0.8182
O1 0.0000 0.0000 0.2593
O2 0.0140 0.5070 0.2574
O3 0.1503 0.3006 0.5882
O4 0.1731 0.3462 0.9076
O5 0.3333 0.6667 0.4041
```


Starting from a structure optimized by DFT (PBE+U), the PXRD pattern of Li9Mn2Co5O16 was computed for Cu Kα X-rays.

Peak list (10 most intense, 2θ = 15–90°, by intensity)
18.3 deg, I 100, (0 1 -2)
42.0 deg, I 31, (1 -2 1)
43.9 deg, I 27, (1 3 -1)
44.8 deg, I 25, (0 1 6)
35.0 deg, I 19, (-1 1 1)
62.4 deg, I 16, (2 1 0)
36.1 deg, I 13, (1 2 1)
36.8 deg, I 11, (0 2 4)
65.0 deg, I 9, (1 4 5)
62.8 deg, I 8, (1 -1 7)

Structural model:
```
data_Li9Mn2Co5O16
_chemical_formula_sum 'Li9 Mn2 Co5 O16'
_cell_length_a 2.981
_cell_length_b 7.770
_cell_length_c 12.563
_cell_angle_alpha 89.39
_cell_angle_beta 89.70
_cell_angle_gamma 81.26
_space_group_name_H-M_alt 'P -1'
_space_group_IT_number 2
_space_group_name_Hall '-P 1'
loop_
_atom_site_label
_atom_site_fract_x
_atom_site_fract_y
_atom_site_fract_z
Li1 0.000 0.000 0.000
Li2 0.059 0.875 0.689
Li3 0.186 0.626 0.060
Li4 0.310 0.377 0.435
Li5 0.442 0.119 0.819
Mn1 0.124 0.753 0.373
Co1 0.245 0.503 0.756
Co2 0.381 0.237 0.120
Co3 0.500 0.000 0.500
O1 0.015 0.926 0.846
O2 0.066 0.834 0.523
O3 0.172 0.682 0.225
O4 0.244 0.436 0.602
O5 0.247 0.570 0.898
O6 0.336 0.317 0.269
O7 0.397 0.197 0.983
O8 0.499 0.934 0.352
```


Starting from a structure optimized by DFT (PBE+U), the PXRD pattern of NaCr2BiO6 was computed for Cu Kα X-rays.

Peak list (10 most intense, 2θ = 15–90°, by intensity)
19.9 deg, I 100, (1 0 1)
32.7 deg, I 83, (1 0 4)
32.8 deg, I 80, (1 1 0)
38.7 deg, I 62, (2 -1 3)
47.0 deg, I 45, (0 2 4)
19.8 deg, I 36, (0 0 3)
58.5 deg, I 34, (2 1 4)
23.0 deg, I 28, (0 1 2)
58.6 deg, I 21, (3 0 0)
52.8 deg, I 20, (2 -1 6)

Structural model:
```
data_NaCr2BiO6
_chemical_formula_sum 'Na3 Cr6 Bi3 O18'
_cell_length_a 5.4533
_cell_length_b 5.4533
_cell_length_c 13.4664
_cell_angle_alpha 90.00
_cell_angle_beta 90.00
_cell_angle_gamma 120.00
_space_group_name_H-M_alt 'R 3'
_space_group_IT_number 146
_space_group_name_Hall 'R 3'
loop_
_atom_site_label
_atom_site_fract_x
_atom_site_fract_y
_atom_site_fract_z
Na1 0.0000 0.0000 0.0000
Cr1 0.0000 0.0000 0.2380
Cr2 0.0000 0.0000 0.7402
Bi1 0.0000 0.0000 0.5167
O1 0.0037 0.5807 0.4798
O2 0.1007 0.3535 0.3085
```


Starting from a structure optimized by DFT (PBE+U), the PXRD pattern of ErCrO3 was computed for Cu Kα X-rays.

Peak list (10 most intense, 2θ = 15–90°, by intensity)
33.1 deg, I 100, (1 2 1)
26.0 deg, I 25, (1 1 1)
23.2 deg, I 25, (1 0 1)
34.0 deg, I 24, (0 0 2)
53.5 deg, I 23, (3 1 1)
60.4 deg, I 21, (1 2 3)
23.3 deg, I 18, (0 2 0)
32.0 deg, I 17, (2 0 0)
34.2 deg, I 16, (2 1 0)
49.0 deg, I 16, (2 1 2)

Structural model:
```
data_ErCrO3
_chemical_formula_sum 'Er4 Cr4 O12'
_cell_length_a 5.592
_cell_length_b 7.621
_cell_length_c 5.268
_cell_angle_alpha 90.00
_cell_angle_beta 90.00
_cell_angle_gamma 90.00
_space_group_name_H-M_alt 'P n m a'
_space_group_IT_number 62
_space_group_name_Hall '-P 2ac 2n'
loop_
_atom_site_label
_atom_site_fract_x
_atom_site_fract_y
_atom_site_fract_z
Er1 0.070 0.250 0.021
Cr1 0.000 0.000 0.500
O1 0.045 0.750 0.381
O2 0.195 0.561 0.810
```


Starting from a structure optimized by DFT (PBE+U), the PXRD pattern of Ta2Mn4O9 was computed for Cu Kα X-rays.

Peak list (10 most intense, 2θ = 15–90°, by intensity)
31.2 deg, I 100, (1 0 4)
33.3 deg, I 71, (1 1 0)
19.0 deg, I 71, (1 0 0)
46.3 deg, I 37, (0 2 4)
58.2 deg, I 37, (2 1 4)
50.7 deg, I 30, (1 1 6)
59.5 deg, I 23, (3 0 0)
22.7 deg, I 19, (0 1 2)
78.6 deg, I 14, (1 3 4)
67.5 deg, I 13, (1 0 10)

Structural model:
```
data_Ta2Mn4O9
_chemical_formula_sum 'Ta4 Mn8 O18'
_cell_length_a 5.3811
_cell_length_b 5.3811
_cell_length_c 14.5310
_cell_angle_alpha 90.00
_cell_angle_beta 90.00
_cell_angle_gamma 120.00
_space_group_name_H-M_alt 'P -3 c 1'
_space_group_IT_number 165
_space_group_name_Hall '-P 3 2"c'
loop_
_atom_site_label
_atom_site_fract_x
_atom_site_fract_y
_atom_site_fract_z
Ta1 0.0000 0.0000 0.1437
Mn1 0.3333 0.6667 0.0185
Mn2 0.3333 0.6667 0.3046
O1 0.0000 0.2766 0.2500
O2 0.0280 0.3345 0.9139
```


Starting from a structure optimized by DFT (PBE+U), the PXRD pattern of Ba2YMo3O8 was computed for Cu Kα X-rays.

Peak list (10 most intense, 2θ = 15–90°, by intensity)
31.1 deg, I 100, (1 0 3)
30.1 deg, I 52, (1 1 0)
54.1 deg, I 41, (2 1 3)
43.1 deg, I 34, (2 0 0)
56.1 deg, I 17, (1 1 6)
65.0 deg, I 12, (2 0 6)
87.4 deg, I 11, (3 2 3)
62.6 deg, I 10, (2 2 0)
88.9 deg, I 10, (3 1 6)
71.0 deg, I 10, (3 1 0)

Structural model:
```
data_Ba2YMo3O8
_chemical_formula_sum 'Ba2 Y1 Mo3 O8'
_cell_length_a 4.197
_cell_length_b 4.197
_cell_length_c 11.810
_cell_angle_alpha 90.00
_cell_angle_beta 90.00
_cell_angle_gamma 90.00
_space_group_name_H-M_alt 'P 4/m m m'
_space_group_IT_number 123
_space_group_name_Hall '-P 4 2'
loop_
_atom_site_label
_atom_site_fract_x
_atom_site_fract_y
_atom_site_fract_z
Ba1 0.000 0.000 0.170
Y1 0.000 0.000 0.500
Mo1 0.500 0.500 0.000
Mo2 0.500 0.500 0.358
O1 0.000 0.500 0.000
O2 0.000 0.500 0.381
O3 0.500 0.500 0.173
```